The following is a calculated powder diffractogram of Rb4TiO4. It was derived from a crystal structure in Alexandria, relaxed with GGA-PBE, using Cu Kα.

The 8 most intense peaks (10 to 80 degrees two-theta), low angle first:
| d_spacing | 2θ/deg | I/Imax | hkl |
| --- | --- | --- | --- |
| 3.255 | 27.40 | 24 | 1 0 -2 |
| 3.242 | 27.52 | 27 | 1 1 -2 |
| 3.158 | 28.26 | 44 | 0 2 0 |
| 3.084 | 28.96 | 45 | 2 0 1 |
| 3.055 | 29.23 | 100 | 2 2 1 |
| 2.638 | 33.98 | 22 | -1 1 2 |
| 2.616 | 34.28 | 20 | 1 2 -2 |
| 2.520 | 35.62 | 38 | 1 2 3 |

Atomic structure:
Lattice parameters (Å, degrees): 7.051 7.202 9.571 81.76 73.10 61.28
Element x y z (fractional)
Rb 0.014 0.228 0.053
Rb 0.132 0.279 0.639
Rb 0.247 0.771 0.550
Rb 0.420 0.721 0.137
Rb 0.580 0.279 0.863
Rb 0.753 0.229 0.450
Rb 0.868 0.721 0.361
Rb 0.986 0.772 0.947
Ti 0.371 0.253 0.250
Ti 0.629 0.747 0.750
O 0.228 0.089 0.333
O 0.231 0.433 0.112
O 0.327 0.913 0.834
O 0.336 0.429 0.389
O 0.664 0.571 0.611
O 0.673 0.087 0.166
O 0.769 0.567 0.888
O 0.772 0.911 0.667